Starting from a structure optimized by DFT (PBE), the powder diffractogram of PmNdSbN was simulated for Cu Kα.
Neutral-atom scattering factors, no anomalous dispersion.

Peak list (10 most intense, 10° ≤ 2θ ≤ 90°, sorted by position)
d = 2.958 Å, 2θ = 30.21°, rel. 100
d = 2.936 Å, 2θ = 30.45°, rel. 98
d = 2.635 Å, 2θ = 34.02°, rel. 72
d = 2.407 Å, 2θ = 37.35°, rel. 22
d = 1.875 Å, 2θ = 48.56°, rel. 15
d = 1.852 Å, 2θ = 49.20°, rel. 14
d = 1.777 Å, 2θ = 51.41°, rel. 39
d = 1.580 Å, 2θ = 58.40°, rel. 31
d = 1.570 Å, 2θ = 58.83°, rel. 30
d = 1.479 Å, 2θ = 62.82°, rel. 10

Crystal structure
Cell: 7.6878 7.6878 7.6878 Å, 152.12 151.77 40.09°
Positions (direct):
Pm  0.0000  0.0000  0.0000
Nd  0.6979  0.6979  0.0000
Sb  0.3501  0.3501  0.0000
N  0.0984  0.5984  0.5000